Theoretical XRD peak list of V3Ga2C for Cu Kα, from a DFT-relaxed cell (GGA-PBE, Alexandria).
Intensities are scaled so that the largest is 100.

Most intense lines, 10° ≤ 2θ ≤ 90°, sorted by position:
2θ/deg, I/Imax, h k l
40.67, 100, 2 2 1
42.98, 54, 3 1 0
45.19, 23, 3 1 1
51.37, 17, 3 2 1
72.41, 26, 4 3 1
77.19, 23, 5 2 0

```
data_V3Ga2C
_symmetry_space_group_name_H-M 'P 41 3 2'
_symmetry_Int_Tables_number 213
_symmetry_space_group_name_Hall 'P 4bd 2ab 3'
_cell_length_a 6.6553
_cell_length_b 6.6553
_cell_length_c 6.6553
_cell_angle_alpha 90.00
_cell_angle_beta 90.00
_cell_angle_gamma 90.00
loop_
_atom_site_label
_atom_site_fract_x
_atom_site_fract_y
_atom_site_fract_z
V1 0.0420 0.1250 0.7920
Ga1 0.0678 0.9322 0.4322
C1 0.1250 0.3750 0.6250
```